CaLa3Pr4Se8: computed powder diffractogram (Cu Kα X-rays), based on a GGA-PBE-relaxed structure.
Intensities are scaled so that the largest is 100.

Top 10 peaks for 10 to 90 degrees two-theta, by angle:
Position (°2θ), I (rel.), (hkl)
12.7, 3, 0 0 3
24.4, 2, 0 2 1
25.5, 10, 2 0 2
29.5, 100, 0 2 4
42.2, 75, 2 2 0
50.0, 5, 2 2 6
52.4, 26, 4 0 4
61.3, 12, 0 4 8
69.5, 33, 2 4 4
77.2, 25, 0 2 16

```
data_CaLa3Pr4Se8
_cell_length_a 8.5561
_cell_length_b 8.5561
_cell_length_c 20.9677
_cell_angle_alpha 90.00
_cell_angle_beta 90.00
_cell_angle_gamma 120.00
_space_group_name_H-M_alt 'R -3 m'
_space_group_IT_number 166
_space_group_name_Hall '-R 3 2"'
loop_
_atom_site_label
_atom_site_type_symbol
_atom_site_fract_x
_atom_site_fract_y
_atom_site_fract_z
_atom_site_occupancy
Ca1 Ca 0.0000 0.0000 0.0000 1
La1 La 0.0000 0.5000 0.0000 1
Pr1 Pr 0.0000 0.0000 0.5000 1
Pr2 Pr 0.0000 0.5000 0.5000 1
Se1 Se 0.0000 0.0000 0.2495 1
Se2 Se 0.0062 0.5031 0.7490 1
```